No. 1
Starting from DFT lattice parameters and positions (PBE), the powder X-ray diffraction pattern of GaHg3S3 was calculated for Cu Kα X-rays.
Neutral-atom scattering factors, no anomalous dispersion.

The 8 most intense peaks (2θ from 5° to 70°), in order of rising 2θ:
2θ 19.7, intensity 34
2θ 22.1, intensity 63
2θ 27.6, intensity 100
2θ 29.4, intensity 42
2θ 32.9, intensity 40
2θ 37.4, intensity 27
2θ 40.0, intensity 27
2θ 44.7, intensity 40

Structural model:
```
GaHg3S3
1.0
4.653 -8.022 0.000
4.653 8.022 0.000
0.000 0.000 5.439
Ga Hg S
2 6 6
Cartesian
4.653 5.343 4.079 Ga
4.653 -5.343 1.360 Ga
1.831 1.621 4.079 Hg
1.831 -1.621 1.360 Hg
4.653 3.233 1.360 Hg
4.653 -3.233 4.079 Hg
7.475 1.621 4.079 Hg
7.475 -1.621 1.360 Hg
1.923 1.568 1.360 S
1.923 -1.568 4.079 S
4.653 3.122 4.079 S
4.653 -3.122 1.360 S
7.383 1.568 1.360 S
7.383 -1.568 4.079 S
```

No. 2
Starting from DFT lattice parameters and positions (PBE), the powder X-ray diffraction pattern of GaHg2S was calculated for Cu Kα X-rays.
Neutral-atom scattering factors, no anomalous dispersion.

The 8 most intense peaks (2θ from 5° to 70°), in order of rising 2θ:
2θ 26.3, intensity 100
2θ 37.6, intensity 24
2θ 46.3, intensity 26
2θ 46.5, intensity 35
2θ 54.1, intensity 6
2θ 54.3, intensity 8
2θ 60.9, intensity 8
2θ 61.3, intensity 12

Structural model:
```
GaHg2S
1.0
6.763 0.000 0.000
0.000 6.763 0.000
0.000 0.000 9.628
Ga Hg S
4 8 4
Cartesian
0.000 0.000 0.000 Ga
0.000 3.381 2.407 Ga
3.381 0.000 7.221 Ga
3.381 3.381 4.814 Ga
1.644 1.691 6.017 Hg
1.691 5.025 8.424 Hg
1.691 5.119 3.610 Hg
1.738 1.691 1.203 Hg
5.025 5.072 1.203 Hg
5.072 1.644 3.610 Hg
5.072 1.738 8.424 Hg
5.119 5.072 6.017 Hg
0.000 0.000 4.814 S
0.000 3.381 7.221 S
3.381 0.000 2.407 S
3.381 3.381 0.000 S
```

No. 3
Starting from DFT lattice parameters and positions (PBE), the powder X-ray diffraction pattern of Sc3Ga2Hg was calculated for Cu Kα X-rays.
Neutral-atom scattering factors, no anomalous dispersion.

The 8 most intense peaks (2θ from 5° to 70°), in order of rising 2θ:
2θ 8.0, intensity 43
2θ 27.1, intensity 21
2θ 28.3, intensity 15
2θ 36.7, intensity 100
2θ 38.8, intensity 44
2θ 56.0, intensity 14
2θ 64.6, intensity 17
2θ 68.8, intensity 30

Structural model:
```
Sc3Ga2Hg
1.0
3.285 0.000 0.000
0.000 3.285 0.000
0.000 0.000 11.035
Sc Ga Hg
3 2 1
Cartesian
0.000 0.000 0.000 Sc
0.000 0.000 3.512 Sc
0.000 0.000 7.523 Sc
1.642 1.642 1.787 Ga
1.642 1.642 9.247 Ga
1.642 1.642 5.517 Hg
```

No. 4
Starting from DFT lattice parameters and positions (PBE), the powder X-ray diffraction pattern of Ga4HgSe7 was calculated for Cu Kα X-rays.
Neutral-atom scattering factors, no anomalous dispersion.

The 8 most intense peaks (2θ from 5° to 70°), in order of rising 2θ:
2θ 14.6, intensity 100
2θ 25.6, intensity 62
2θ 25.9, intensity 44
2θ 27.3, intensity 67
2θ 29.1, intensity 35
2θ 45.0, intensity 41
2θ 45.5, intensity 53
2θ 49.3, intensity 35

Structural model:
```
Ga4HgSe7
1.0
16.117 0.000 0.000
0.000 6.891 0.000
0.000 0.000 6.541
Ga Hg Se
8 2 14
Cartesian
2.039 1.201 0.000 Ga
3.911 2.266 3.068 Ga
4.147 4.624 6.339 Ga
6.020 5.689 3.271 Ga
10.097 5.689 3.271 Ga
11.970 4.624 6.339 Ga
12.206 2.266 3.068 Ga
14.078 1.201 0.000 Ga
0.000 4.542 5.844 Hg
8.059 2.349 2.573 Hg
0.000 1.970 5.348 Se
1.836 1.348 2.355 Se
2.230 5.866 5.435 Se
3.990 4.626 2.298 Se
4.069 2.265 5.569 Se
5.828 1.025 2.164 Se
6.222 5.542 5.626 Se
8.059 4.920 2.077 Se
9.895 5.542 5.626 Se
10.289 1.025 2.164 Se
12.049 2.265 5.569 Se
12.127 4.626 2.298 Se
13.887 5.866 5.435 Se
14.281 1.348 2.355 Se
```

No. 5
Starting from DFT lattice parameters and positions (PBE), the powder X-ray diffraction pattern of GaHgSe was calculated for Cu Kα X-rays.
Neutral-atom scattering factors, no anomalous dispersion.

The 8 most intense peaks (2θ from 5° to 70°), in order of rising 2θ:
2θ 24.7, intensity 45
2θ 27.1, intensity 91
2θ 29.9, intensity 100
2θ 37.0, intensity 37
2θ 46.8, intensity 65
2θ 48.0, intensity 41
2θ 54.7, intensity 31
2θ 69.3, intensity 20

Structural model:
```
GaHgSe
1.0
14.417 0.000 0.000
0.000 3.794 0.000
0.000 0.000 6.573
Ga Hg Se
4 4 4
Cartesian
2.610 0.000 0.000 Ga
2.610 1.897 3.287 Ga
11.807 0.000 0.000 Ga
11.807 1.897 3.287 Ga
0.000 0.000 0.001 Hg
0.000 1.897 3.288 Hg
7.208 0.000 0.011 Hg
7.208 1.897 3.297 Hg
3.808 0.000 4.383 Se
3.808 1.897 1.096 Se
10.609 0.000 4.383 Se
10.609 1.897 1.096 Se
```

No. 6
Starting from DFT lattice parameters and positions (PBE), the powder X-ray diffraction pattern of Ga2HgSe4 was calculated for Cu Kα X-rays.
Neutral-atom scattering factors, no anomalous dispersion.

The 8 most intense peaks (2θ from 5° to 70°), in order of rising 2θ:
2θ 16.3, intensity 23
2θ 17.9, intensity 35
2θ 29.3, intensity 23
2θ 32.1, intensity 100
2θ 32.8, intensity 39
2θ 46.0, intensity 36
2θ 46.6, intensity 59
2θ 57.7, intensity 31

Structural model:
```
Ga2HgSe4
1.0
5.579 0.000 0.000
0.000 5.579 0.000
0.000 0.000 10.907
Ga Hg Se
4 2 8
Cartesian
0.000 0.000 0.000 Ga
0.000 2.790 2.727 Ga
2.790 0.000 8.181 Ga
2.790 2.790 5.454 Ga
0.000 0.000 5.454 Hg
2.790 2.790 0.000 Hg
0.000 0.000 2.440 Se
0.000 0.000 8.467 Se
0.000 2.790 0.248 Se
0.000 2.790 5.206 Se
2.790 0.000 5.702 Se
2.790 0.000 10.660 Se
2.790 2.790 3.014 Se
2.790 2.790 7.894 Se
```

No. 7
Starting from DFT lattice parameters and positions (PBE), the powder X-ray diffraction pattern of Sm3Ga3Hg was calculated for Cu Kα X-rays.
Neutral-atom scattering factors, no anomalous dispersion.

The 8 most intense peaks (2θ from 5° to 70°), in order of rising 2θ:
2θ 6.5, intensity 40
2θ 31.0, intensity 89
2θ 31.3, intensity 39
2θ 31.5, intensity 100
2θ 33.0, intensity 30
2θ 35.8, intensity 36
2θ 38.3, intensity 77
2θ 39.8, intensity 59

Structural model:
```
Sm3Ga3Hg
1.0
5.568 -2.264 0.000
5.568 2.264 0.000
-4.969 0.000 13.696
Sm Ga Hg
6 6 2
Cartesian
-1.543 0.000 5.153 Sm
-3.416 0.000 12.664 Sm
1.542 0.000 2.997 Sm
4.625 0.000 10.699 Sm
9.582 0.000 1.032 Sm
7.709 0.000 8.543 Sm
1.955 0.000 6.222 Ga
-0.235 0.000 12.684 Ga
1.466 0.000 10.626 Ga
4.701 0.000 3.070 Ga
6.402 0.000 1.012 Ga
4.212 0.000 7.475 Ga
-0.145 0.000 8.330 Hg
6.312 0.000 5.366 Hg
```

No. 8
Starting from DFT lattice parameters and positions (PBE), the powder X-ray diffraction pattern of Ga4Sn3Hg was calculated for Cu Kα X-rays.
Neutral-atom scattering factors, no anomalous dispersion.

The 8 most intense peaks (2θ from 5° to 70°), in order of rising 2θ:
2θ 29.9, intensity 100
2θ 31.6, intensity 31
2θ 33.7, intensity 24
2θ 34.0, intensity 49
2θ 37.0, intensity 29
2θ 43.4, intensity 38
2θ 44.8, intensity 20
2θ 45.8, intensity 37

Structural model:
```
Ga4Sn3Hg
1.0
5.325 0.000 0.000
0.000 7.847 0.000
0.000 0.000 9.104
Ga Sn Hg
8 6 2
Cartesian
0.000 1.400 0.000 Ga
0.000 6.446 0.000 Ga
1.289 3.923 0.632 Ga
1.373 0.000 5.184 Ga
2.663 2.523 4.552 Ga
2.663 5.324 4.552 Ga
3.952 0.000 5.184 Ga
4.036 3.923 0.632 Ga
0.000 2.323 6.341 Sn
0.000 3.923 3.538 Sn
0.000 5.523 6.341 Sn
2.663 0.000 8.089 Sn
2.663 1.600 1.789 Sn
2.663 6.247 1.789 Sn
0.000 0.000 2.685 Hg
2.663 3.923 7.237 Hg
```

No. 9
Starting from DFT lattice parameters and positions (PBE), the powder X-ray diffraction pattern of Ga4SnHg was calculated for Cu Kα X-rays.
Neutral-atom scattering factors, no anomalous dispersion.

The 8 most intense peaks (2θ from 5° to 70°), in order of rising 2θ:
2θ 31.9, intensity 66
2θ 33.9, intensity 100
2θ 36.5, intensity 41
2θ 42.8, intensity 27
2θ 45.9, intensity 22
2θ 46.2, intensity 21
2θ 48.5, intensity 18
2θ 64.1, intensity 24

Structural model:
```
Ga4SnHg
1.0
4.027 0.000 0.000
0.964 5.297 0.000
1.865 0.411 6.177
Ga Sn Hg
4 1 1
Cartesian
0.000 0.000 0.000 Ga
1.466 2.760 3.016 Ga
3.537 2.602 1.175 Ga
5.009 5.343 4.213 Ga
3.435 2.876 5.185 Sn
2.986 5.329 2.106 Hg
```

No. 10
Starting from DFT lattice parameters and positions (PBE), the powder X-ray diffraction pattern of Ga6SnHg was calculated for Cu Kα X-rays.
Neutral-atom scattering factors, no anomalous dispersion.

The 8 most intense peaks (2θ from 5° to 70°), in order of rising 2θ:
2θ 28.0, intensity 9
2θ 30.2, intensity 12
2θ 35.3, intensity 17
2θ 35.8, intensity 100
2θ 37.0, intensity 11
2θ 44.4, intensity 15
2θ 44.5, intensity 15
2θ 64.7, intensity 10

Structural model:
```
Ga6SnHg
1.0
4.070 0.000 0.000
0.000 8.165 0.000
0.000 0.000 5.088
Ga Sn Hg
6 1 1
Cartesian
0.000 0.000 0.000 Ga
0.000 2.049 2.140 Ga
0.000 6.116 2.140 Ga
2.035 1.955 5.035 Ga
2.035 4.082 2.023 Ga
2.035 6.210 5.035 Ga
0.000 4.082 4.470 Sn
2.035 0.000 2.681 Hg
```

No. 11
Starting from DFT lattice parameters and positions (PBE), the powder X-ray diffraction pattern of Sr2Ga4SnHg3 was calculated for Cu Kα X-rays.
Neutral-atom scattering factors, no anomalous dispersion.

The 8 most intense peaks (2θ from 5° to 70°), in order of rising 2θ:
2θ 20.5, intensity 33
2θ 28.1, intensity 33
2θ 30.1, intensity 55
2θ 31.2, intensity 100
2θ 38.5, intensity 82
2θ 41.6, intensity 64
2θ 43.8, intensity 34
2θ 55.6, intensity 28

Structural model:
```
Sr2Ga4SnHg3
1.0
4.677 0.000 0.000
0.000 4.677 0.000
0.000 0.000 11.520
Sr Ga Sn Hg
2 4 1 3
Cartesian
0.000 2.338 2.820 Sr
2.338 0.000 8.700 Sr
0.000 0.000 0.000 Ga
0.000 2.338 7.373 Ga
2.338 0.000 4.146 Ga
2.338 2.338 0.000 Ga
0.000 0.000 5.760 Sn
0.000 2.338 10.008 Hg
2.338 0.000 1.512 Hg
2.338 2.338 5.760 Hg
```